(1)
Diffraction record for Cd7Se. The powder XRD pattern is computed, not measured: it uses a structure optimized by DFT (PBE) and Cu Kα, 1.54184 Å.

Crystal structure
```
data_Cd7Se
_symmetry_space_group_name_H-M 'P 1'
_symmetry_Int_Tables_number 1
_symmetry_space_group_name_Hall 'P 1'
_cell_length_a 6.350
_cell_length_b 6.350
_cell_length_c 6.350
_cell_angle_alpha 60.00
_cell_angle_beta 60.00
_cell_angle_gamma 60.00
loop_
_atom_site_label
_atom_site_type_symbol
_atom_site_fract_x
_atom_site_fract_y
_atom_site_fract_z
Cd1 Cd 0.000 0.000 0.000
Cd2 Cd 0.000 0.000 0.500
Cd3 Cd 0.000 0.500 0.000
Cd4 Cd 0.000 0.500 0.500
Cd5 Cd 0.500 0.000 0.000
Cd6 Cd 0.500 0.000 0.500
Cd7 Cd 0.500 0.500 0.000
Se1 Se 0.500 0.500 0.500
```

Peak list (8 most intense, 15 to 90 degrees two-theta, sorted by position)
17.1°, 5.185 Å, I 0.9
33.1°, 2.708 Å, I 0.5
34.6°, 2.593 Å, I 100.0
40.2°, 2.245 Å, I 49.2
58.1°, 1.588 Å, I 31.8
69.4°, 1.354 Å, I 36.6
73.0°, 1.296 Å, I 10.5
86.7°, 1.123 Å, I 5.1

(2)
Diffraction record for Cd3Se. The powder XRD pattern is computed, not measured: it uses a structure optimized by DFT (PBE) and Cu Kα, 1.54184 Å.

Crystal structure
```
data_Cd3Se
_symmetry_space_group_name_H-M 'P 1'
_symmetry_Int_Tables_number 1
_symmetry_space_group_name_Hall 'P 1'
_cell_length_a 6.026
_cell_length_b 8.491
_cell_length_c 8.029
_cell_angle_alpha 90.00
_cell_angle_beta 90.00
_cell_angle_gamma 90.00
loop_
_atom_site_label
_atom_site_type_symbol
_atom_site_fract_x
_atom_site_fract_y
_atom_site_fract_z
Cd1 Cd 0.083 0.250 0.246
Cd2 Cd 0.136 0.041 0.856
Cd3 Cd 0.136 0.459 0.856
Cd4 Cd 0.364 0.541 0.356
Cd5 Cd 0.364 0.959 0.356
Cd6 Cd 0.417 0.750 0.746
Cd7 Cd 0.583 0.250 0.254
Cd8 Cd 0.636 0.041 0.644
Cd9 Cd 0.636 0.459 0.644
Cd10 Cd 0.864 0.541 0.144
Cd11 Cd 0.864 0.959 0.144
Cd12 Cd 0.917 0.750 0.754
Se1 Se 0.024 0.750 0.407
Se2 Se 0.476 0.250 0.907
Se3 Se 0.524 0.750 0.093
Se4 Se 0.976 0.250 0.593
```

Peak list (10 most intense, 15 to 90 degrees two-theta, sorted by position)
22.1°, 4.015 Å, I 26.9
26.7°, 3.341 Å, I 55.6
28.0°, 3.186 Å, I 65.6
33.6°, 2.670 Å, I 38.7
34.2°, 2.626 Å, I 35.8
35.2°, 2.553 Å, I 40.4
38.3°, 2.349 Å, I 100.0
41.8°, 2.160 Å, I 33.5
42.6°, 2.121 Å, I 40.3
46.6°, 1.947 Å, I 30.9

(3)
Diffraction record for CdSe2. The powder XRD pattern is computed, not measured: it uses a structure optimized by DFT (PBE) and Cu Kα, 1.54184 Å.

Crystal structure
```
data_CdSe2
_symmetry_space_group_name_H-M 'P 1'
_symmetry_Int_Tables_number 1
_symmetry_space_group_name_Hall 'P 1'
_cell_length_a 6.743
_cell_length_b 6.743
_cell_length_c 6.743
_cell_angle_alpha 90.00
_cell_angle_beta 90.00
_cell_angle_gamma 90.00
loop_
_atom_site_label
_atom_site_type_symbol
_atom_site_fract_x
_atom_site_fract_y
_atom_site_fract_z
Cd1 Cd 0.000 0.000 0.000
Cd2 Cd 0.000 0.500 0.500
Cd3 Cd 0.500 0.000 0.500
Cd4 Cd 0.500 0.500 0.000
Se1 Se 0.103 0.603 0.897
Se2 Se 0.103 0.897 0.397
Se3 Se 0.397 0.103 0.897
Se4 Se 0.397 0.397 0.397
Se5 Se 0.603 0.603 0.603
Se6 Se 0.603 0.897 0.103
Se7 Se 0.897 0.103 0.603
Se8 Se 0.897 0.397 0.103
```

Peak list (10 most intense, 15 to 90 degrees two-theta, sorted by position)
26.4°, 3.371 Å, I 100.0
29.6°, 3.016 Å, I 49.9
32.5°, 2.753 Å, I 49.6
37.7°, 2.384 Å, I 49.3
44.6°, 2.033 Å, I 85.7
46.7°, 1.947 Å, I 15.2
48.7°, 1.870 Å, I 29.6
50.7°, 1.802 Å, I 36.3
72.9°, 1.298 Å, I 43.3
80.6°, 1.192 Å, I 16.8

(4)
Diffraction record for CdSiSe. The powder XRD pattern is computed, not measured: it uses a structure optimized by DFT (PBE) and Cu Kα, 1.54184 Å.

Crystal structure
```
data_CdSiSe
_symmetry_space_group_name_H-M 'P 1'
_symmetry_Int_Tables_number 1
_symmetry_space_group_name_Hall 'P 1'
_cell_length_a 7.419
_cell_length_b 7.419
_cell_length_c 3.975
_cell_angle_alpha 96.79
_cell_angle_beta 96.79
_cell_angle_gamma 132.03
loop_
_atom_site_label
_atom_site_type_symbol
_atom_site_fract_x
_atom_site_fract_y
_atom_site_fract_z
Cd1 Cd 0.142 0.858 0.500
Cd2 Cd 0.858 0.142 0.000
Si1 Si 0.335 0.431 0.232
Si2 Si 0.431 0.335 0.732
Se1 Se 0.515 0.850 0.368
Se2 Se 0.850 0.515 0.868
```

Peak list (10 most intense, 15 to 90 degrees two-theta, sorted by position)
24.9°, 3.578 Å, I 67.7
25.0°, 3.558 Å, I 100.0
26.3°, 3.389 Å, I 53.8
26.9°, 3.317 Å, I 53.3
32.4°, 2.762 Å, I 80.3
35.7°, 2.516 Å, I 74.9
42.7°, 2.116 Å, I 34.1
46.4°, 1.955 Å, I 51.8
46.7°, 1.945 Å, I 35.6
50.2°, 1.818 Å, I 27.2

(5)
Diffraction record for CdSiSe. The powder XRD pattern is computed, not measured: it uses a structure optimized by DFT (PBE) and Cu Kα, 1.54184 Å.

Crystal structure
```
data_CdSiSe
_symmetry_space_group_name_H-M 'P 1'
_symmetry_Int_Tables_number 1
_symmetry_space_group_name_Hall 'P 1'
_cell_length_a 7.321
_cell_length_b 7.321
_cell_length_c 4.027
_cell_angle_alpha 105.84
_cell_angle_beta 105.84
_cell_angle_gamma 50.04
loop_
_atom_site_label
_atom_site_type_symbol
_atom_site_fract_x
_atom_site_fract_y
_atom_site_fract_z
Cd1 Cd 0.149 0.149 0.148
Cd2 Cd 0.851 0.851 0.852
Si1 Si 0.278 0.722 0.000
Si2 Si 0.481 0.519 0.500
Se1 Se 0.547 0.145 0.347
Se2 Se 0.855 0.453 0.653
```

Peak list (10 most intense, 15 to 90 degrees two-theta, sorted by position)
15.9°, 5.562 Å, I 21.3
25.6°, 3.486 Å, I 65.4
26.4°, 3.376 Å, I 100.0
28.2°, 3.163 Å, I 21.5
39.0°, 2.308 Å, I 27.9
42.6°, 2.121 Å, I 72.5
45.0°, 2.013 Å, I 18.5
49.1°, 1.854 Å, I 19.5
51.1°, 1.788 Å, I 21.8
52.5°, 1.743 Å, I 18.0

(6)
Diffraction record for Sm5CdSe4. The powder XRD pattern is computed, not measured: it uses a structure optimized by DFT (PBE) and Cu Kα, 1.54184 Å.

Crystal structure
```
data_Sm5CdSe4
_symmetry_space_group_name_H-M 'P 1'
_symmetry_Int_Tables_number 1
_symmetry_space_group_name_Hall 'P 1'
_cell_length_a 7.312
_cell_length_b 7.312
_cell_length_c 7.312
_cell_angle_alpha 99.61
_cell_angle_beta 99.61
_cell_angle_gamma 131.78
loop_
_atom_site_label
_atom_site_type_symbol
_atom_site_fract_x
_atom_site_fract_y
_atom_site_fract_z
Sm1 Sm 0.000 0.000 0.000
Sm2 Sm 0.193 0.398 0.590
Sm3 Sm 0.398 0.807 0.205
Sm4 Sm 0.602 0.193 0.795
Sm5 Sm 0.807 0.602 0.410
Cd1 Cd 0.500 0.500 0.000
Se1 Se 0.101 0.699 0.801
Se2 Se 0.301 0.101 0.402
Se3 Se 0.699 0.899 0.598
Se4 Se 0.899 0.301 0.199
```

Peak list (10 most intense, 15 to 90 degrees two-theta, sorted by position)
25.8°, 3.447 Å, I 13.7
29.9°, 2.986 Å, I 100.0
42.8°, 2.111 Å, I 74.5
50.7°, 1.800 Å, I 6.6
53.1°, 1.724 Å, I 26.1
62.2°, 1.493 Å, I 12.1
68.5°, 1.370 Å, I 2.6
70.5°, 1.335 Å, I 33.1
78.5°, 1.219 Å, I 24.5
84.3°, 1.149 Å, I 2.1